Entry 1:
Simulated powder diffraction line list
Compound: KLuP2O7
Radiation: Cu Kα
Structure: DFT lattice parameters and positions (PBE)
Lines closer than 0.1° are merged.

The 10 most intense peaks (15° ≤ 2θ ≤ 90°), low angle first:
15.9 deg, intensity 91; 19.6 deg, intensity 27; 20.2 deg, intensity 28; 21.5 deg, intensity 88; 24.4 deg, intensity 26; 27.5 deg, intensity 86; 28.8 deg, intensity 100; 29.0 deg, intensity 42; 32.4 deg, intensity 28; 36.3 deg, intensity 24

Cell and atoms:
```
data_KLuP2O7
_symmetry_space_group_name_H-M 'P 1 21/c 1'
_symmetry_Int_Tables_number 14
_symmetry_space_group_name_Hall '-P 2ybc'
_cell_length_a 7.636
_cell_length_b 10.837
_cell_length_c 8.618
_cell_angle_alpha 90.00
_cell_angle_beta 106.84
_cell_angle_gamma 90.00
loop_
_atom_site_label
_atom_site_fract_x
_atom_site_fract_y
_atom_site_fract_z
_atom_site_occupancy
K1 0.180 0.178 0.066 1
Lu1 0.233 0.597 0.252 1
P1 0.131 0.601 0.815 1
P2 0.445 0.642 0.690 1
O1 0.010 0.001 0.214 1
O2 0.073 0.729 0.740 1
O3 0.139 0.596 0.992 1
O4 0.337 0.573 0.805 1
O5 0.337 0.613 0.516 1
O6 0.364 0.084 0.760 1
O7 0.456 0.721 0.234 1
```



Entry 2:
Simulated powder diffraction line list
Compound: Zr4Al3C6
Radiation: Cu Kα
Structure: DFT lattice parameters and positions (PBE)
Lines closer than 0.1° are merged.

The 10 most intense peaks (15° ≤ 2θ ≤ 90°), low angle first:
31.8 deg, intensity 18; 32.4 deg, intensity 24; 32.6 deg, intensity 100; 33.6 deg, intensity 42; 36.2 deg, intensity 22; 37.8 deg, intensity 78; 39.5 deg, intensity 42; 54.6 deg, intensity 52; 64.9 deg, intensity 20; 68.5 deg, intensity 18

Cell and atoms:
```
data_Zr4Al3C6
_symmetry_space_group_name_H-M 'P 63/m m c'
_symmetry_Int_Tables_number 194
_symmetry_space_group_name_Hall '-P 6c 2c'
_cell_length_a 3.3613
_cell_length_b 3.3613
_cell_length_c 33.1544
_cell_angle_alpha 90.00
_cell_angle_beta 90.00
_cell_angle_gamma 120.00
loop_
_atom_site_label
_atom_site_fract_x
_atom_site_fract_y
_atom_site_fract_z
_atom_site_occupancy
Zr1 0.0000 0.0000 0.1208 1
Zr2 0.3333 0.6667 0.0402 1
Al1 0.3333 0.6667 0.2500 1
Al2 0.3333 0.6667 0.6892 1
C1 0.0000 0.0000 0.0000 1
C2 0.3333 0.6667 0.1686 1
C3 0.3333 0.6667 0.5831 1
C4 0.3333 0.6667 0.7500 1
```



Entry 3:
Simulated powder diffraction line list
Compound: DyB2Ru
Radiation: Cu Kα
Structure: DFT lattice parameters and positions (PBE)
Lines closer than 0.1° are merged.

The 10 most intense peaks (15° ≤ 2θ ≤ 90°), low angle first:
20.5 deg, intensity 16; 28.0 deg, intensity 22; 33.6 deg, intensity 57; 36.2 deg, intensity 89; 37.5 deg, intensity 100; 44.3 deg, intensity 17; 61.8 deg, intensity 17; 62.7 deg, intensity 22; 62.9 deg, intensity 16; 74.7 deg, intensity 22

Cell and atoms:
```
data_DyB2Ru
_symmetry_space_group_name_H-M 'P n m a'
_symmetry_Int_Tables_number 62
_symmetry_space_group_name_Hall '-P 2ac 2n'
_cell_length_a 5.918
_cell_length_b 5.336
_cell_length_c 6.366
_cell_angle_alpha 90.00
_cell_angle_beta 90.00
_cell_angle_gamma 90.00
loop_
_atom_site_label
_atom_site_fract_x
_atom_site_fract_y
_atom_site_fract_z
_atom_site_occupancy
Dy1 0.010 0.250 0.163 1
B1 0.130 0.584 0.461 1
Ru1 0.182 0.250 0.682 1
```



Entry 4:
Simulated powder diffraction line list
Compound: Mg5As4H22O26
Radiation: Cu Kα
Structure: DFT lattice parameters and positions (PBE)
Lines closer than 0.1° are merged.

The 10 most intense peaks (15° ≤ 2θ ≤ 90°), low angle first:
18.3 deg, intensity 93; 21.5 deg, intensity 45; 23.4 deg, intensity 39; 25.6 deg, intensity 66; 25.8 deg, intensity 51; 26.8 deg, intensity 60; 29.6 deg, intensity 100; 30.0 deg, intensity 75; 31.6 deg, intensity 39; 32.3 deg, intensity 50

Cell and atoms:
```
data_Mg5As4H22O26
_symmetry_space_group_name_H-M 'P -1'
_symmetry_Int_Tables_number 2
_symmetry_space_group_name_Hall '-P 1'
_cell_length_a 6.702
_cell_length_b 7.865
_cell_length_c 10.571
_cell_angle_alpha 81.35
_cell_angle_beta 80.93
_cell_angle_gamma 84.13
loop_
_atom_site_label
_atom_site_fract_x
_atom_site_fract_y
_atom_site_fract_z
_atom_site_occupancy
Mg1 0.000 0.000 0.000 1
Mg2 0.108 0.637 0.565 1
Mg3 0.398 0.918 0.407 1
As1 0.081 0.040 0.665 1
As2 0.405 0.370 0.366 1
H1 0.093 0.351 0.764 1
H2 0.110 0.443 0.123 1
H3 0.124 0.766 0.853 1
H4 0.185 0.654 0.981 1
H5 0.203 0.184 0.298 1
H6 0.254 0.483 0.771 1
H7 0.271 0.197 0.053 1
H8 0.345 0.452 0.105 1
H9 0.354 0.002 0.102 1
H10 0.370 0.134 0.808 1
H11 0.474 0.720 0.222 1
O1 0.023 0.825 0.700 1
O2 0.094 0.123 0.805 1
O3 0.107 0.846 0.414 1
O4 0.114 0.477 0.749 1
O5 0.154 0.773 0.940 1
O6 0.176 0.438 0.446 1
O7 0.233 0.434 0.058 1
O8 0.267 0.074 0.044 1
O9 0.313 0.047 0.570 1
O10 0.357 0.179 0.306 1
O11 0.413 0.685 0.535 1
O12 0.484 0.847 0.222 1
O13 0.490 0.505 0.231 1
```



Entry 5:
Simulated powder diffraction line list
Compound: Y12Co5Bi
Radiation: Cu Kα
Structure: DFT lattice parameters and positions (PBE)
Lines closer than 0.1° are merged.

The 10 most intense peaks (15° ≤ 2θ ≤ 90°), low angle first:
29.5 deg, intensity 21; 29.6 deg, intensity 26; 32.1 deg, intensity 100; 34.2 deg, intensity 55; 34.8 deg, intensity 54; 35.1 deg, intensity 42; 37.7 deg, intensity 30; 54.4 deg, intensity 20; 58.0 deg, intensity 17; 59.5 deg, intensity 25

Cell and atoms:
```
data_Y12Co5Bi
_symmetry_space_group_name_H-M 'I m m m'
_symmetry_Int_Tables_number 71
_symmetry_space_group_name_Hall '-I 2 2'
_cell_length_a 9.527
_cell_length_b 9.545
_cell_length_c 9.961
_cell_angle_alpha 90.00
_cell_angle_beta 90.00
_cell_angle_gamma 90.00
loop_
_atom_site_label
_atom_site_fract_x
_atom_site_fract_y
_atom_site_fract_z
_atom_site_occupancy
Y1 0.000 0.191 0.188 1
Y2 0.183 0.211 0.500 1
Y3 0.195 0.500 0.293 1
Co1 0.000 0.000 0.390 1
Co2 0.000 0.500 0.500 1
Co3 0.121 0.000 0.000 1
Bi1 0.000 0.500 0.000 1
```



Entry 6:
Simulated powder diffraction line list
Compound: Pb4CCl6O4
Radiation: Cu Kα
Structure: DFT lattice parameters and positions (PBE)
Lines closer than 0.1° are merged.

The 10 most intense peaks (15° ≤ 2θ ≤ 90°), low angle first:
21.5 deg, intensity 51; 21.9 deg, intensity 100; 23.0 deg, intensity 18; 24.9 deg, intensity 20; 35.8 deg, intensity 18; 36.6 deg, intensity 19; 37.8 deg, intensity 34; 38.6 deg, intensity 33; 42.5 deg, intensity 17; 56.7 deg, intensity 17

Cell and atoms:
```
data_Pb4CCl6O4
_symmetry_space_group_name_H-M 'P 1 21/m 1'
_symmetry_Int_Tables_number 11
_symmetry_space_group_name_Hall '-P 2yb'
_cell_length_a 4.260
_cell_length_b 9.333
_cell_length_c 16.596
_cell_angle_alpha 90.00
_cell_angle_beta 93.20
_cell_angle_gamma 90.00
loop_
_atom_site_label
_atom_site_fract_x
_atom_site_fract_y
_atom_site_fract_z
_atom_site_occupancy
Pb1 0.183 0.006 0.237 1
Pb2 0.252 0.750 0.013 1
Pb3 0.263 0.750 0.526 1
C1 0.409 0.250 0.742 1
Cl1 0.230 0.051 0.915 1
Cl2 0.234 0.028 0.417 1
Cl3 0.260 0.250 0.108 1
Cl4 0.287 0.750 0.711 1
O1 0.251 0.250 0.545 1
O2 0.290 0.128 0.721 1
O3 0.321 0.750 0.215 1
```



Entry 7:
Simulated powder diffraction line list
Compound: Tl2SnTe5
Radiation: Cu Kα
Structure: DFT lattice parameters and positions (PBE)
Lines closer than 0.1° are merged.

The 10 most intense peaks (15° ≤ 2θ ≤ 90°), low angle first:
20.8 deg, intensity 14; 24.0 deg, intensity 21; 29.2 deg, intensity 20; 29.6 deg, intensity 47; 31.3 deg, intensity 100; 47.6 deg, intensity 16; 48.8 deg, intensity 15; 53.6 deg, intensity 18; 56.9 deg, intensity 14; 74.4 deg, intensity 15

Cell and atoms:
```
data_Tl2SnTe5
_symmetry_space_group_name_H-M 'I 4/m c m'
_symmetry_Int_Tables_number 140
_symmetry_space_group_name_Hall '-I 4 2c'
_cell_length_a 8.548
_cell_length_b 8.548
_cell_length_c 15.335
_cell_angle_alpha 90.00
_cell_angle_beta 90.00
_cell_angle_gamma 90.00
loop_
_atom_site_label
_atom_site_fract_x
_atom_site_fract_y
_atom_site_fract_z
_atom_site_occupancy
Tl1 0.000 0.000 0.000 1
Tl2 0.000 0.000 0.250 1
Sn1 0.000 0.500 0.250 1
Te1 0.000 0.500 0.000 1
Te2 0.184 0.316 0.135 1
```



Entry 8:
Simulated powder diffraction line list
Compound: Sm3Ga2
Radiation: Cu Kα
Structure: DFT lattice parameters and positions (PBE)
Lines closer than 0.1° are merged.

The 10 most intense peaks (15° ≤ 2θ ≤ 90°), low angle first:
31.6 deg, intensity 100; 32.0 deg, intensity 29; 32.4 deg, intensity 41; 33.5 deg, intensity 93; 33.8 deg, intensity 44; 35.2 deg, intensity 15; 35.8 deg, intensity 30; 52.6 deg, intensity 24; 54.7 deg, intensity 17; 60.2 deg, intensity 19

Cell and atoms:
```
data_Sm3Ga2
_symmetry_space_group_name_H-M 'I 4/m c m'
_symmetry_Int_Tables_number 140
_symmetry_space_group_name_Hall '-I 4 2c'
_cell_length_a 11.869
_cell_length_b 11.869
_cell_length_c 15.277
_cell_angle_alpha 90.00
_cell_angle_beta 90.00
_cell_angle_gamma 90.00
loop_
_atom_site_label
_atom_site_fract_x
_atom_site_fract_y
_atom_site_fract_z
_atom_site_occupancy
Sm1 0.000 0.500 0.148 1
Sm2 0.067 0.203 0.136 1
Sm3 0.168 0.332 0.500 1
Ga1 0.000 0.000 0.000 1
Ga2 0.000 0.000 0.250 1
Ga3 0.116 0.384 0.000 1
Ga4 0.178 0.322 0.299 1
```



Entry 9:
Simulated powder diffraction line list
Compound: Ca4Ge3Au5
Radiation: Cu Kα
Structure: DFT lattice parameters and positions (PBE)
Lines closer than 0.1° are merged.

The 10 most intense peaks (15° ≤ 2θ ≤ 90°), low angle first:
16.5 deg, intensity 25; 22.4 deg, intensity 82; 24.4 deg, intensity 54; 32.2 deg, intensity 29; 33.2 deg, intensity 20; 33.4 deg, intensity 100; 39.3 deg, intensity 78; 39.4 deg, intensity 43; 46.9 deg, intensity 43; 56.5 deg, intensity 21

Cell and atoms:
```
data_Ca4Ge3Au5
_symmetry_space_group_name_H-M 'C 1 m 1'
_symmetry_Int_Tables_number 8
_symmetry_space_group_name_Hall 'C -2y'
_cell_length_a 10.821
_cell_length_b 4.570
_cell_length_c 10.767
_cell_angle_alpha 90.00
_cell_angle_beta 94.95
_cell_angle_gamma 90.00
loop_
_atom_site_label
_atom_site_fract_x
_atom_site_fract_y
_atom_site_fract_z
_atom_site_occupancy
Ca1 0.000 0.000 0.000 1
Ca2 0.001 0.500 0.503 1
Ca3 0.204 0.500 0.787 1
Ca4 0.205 0.000 0.294 1
Ge1 0.217 0.500 0.093 1
Ge2 0.406 0.000 0.788 1
Ge3 0.406 0.500 0.273 1
Au1 0.005 0.500 0.208 1
Au2 0.210 0.000 0.596 1
Au3 0.289 0.000 0.993 1
Au4 0.297 0.500 0.483 1
Au5 0.487 0.500 0.714 1
```